[1]
Theoretical X-ray powder pattern
Compound: Sm3Al2
Radiation: Cu Kα (weighted mean of Kα1 and Kα2)
Structure: a cell relaxed with GGA-PBE

abc: 8.426 8.426 7.705
angles: 90.00 90.00 90.00
Space group P4_2/mnm (No. 136)
Asymmetric unit:
Sm (0.000, 0.500, 0.250) [4 per cell]
Sm (0.149, 0.149, 0.000) [4 per cell]
Sm (0.202, 0.202, 0.500) [4 per cell]
Al (0.118, 0.882, 0.310) [8 per cell]

The 10 most intense peaks (5° ≤ 2θ ≤ 70°), by intensity:
| 2θ (°) | I (rel.) | index |
| --- | --- | --- |
| 31.47 | 100 | 2 0 2 |
| 33.26 | 84 | 2 1 2 |
| 33.63 | 70 | 3 1 0 |
| 27.57 | 51 | 1 1 2 |
| 23.61 | 51 | 2 1 0 |
| 30.00 | 39 | 2 2 0 |
| 51.79 | 32 | 3 3 2 |
| 35.65 | 26 | 3 1 1 |
| 59.19 | 24 | 3 1 4 |
| 50.56 | 20 | 4 1 2 |

[2]
Theoretical X-ray powder pattern
Compound: Ho3TlS4
Radiation: Cu Kα (weighted mean of Kα1 and Kα2)
Structure: a cell relaxed with GGA-PBE

abc: 3.9294 3.9294 28.0930
angles: 90.00 90.00 120.00
Space group P6_3/mmc (No. 194)
Asymmetric unit:
Ho (0.0000, 0.0000, 0.0000) [2 per cell]
Ho (0.3333, 0.6667, 0.1125) [4 per cell]
Tl (0.3333, 0.6667, 0.7500) [2 per cell]
S (0.0000, 0.0000, 0.1654) [4 per cell]
S (0.3333, 0.6667, 0.5561) [4 per cell]

The 10 most intense peaks (5° ≤ 2θ ≤ 70°), by intensity:
| 2θ (°) | I (rel.) | index |
| --- | --- | --- |
| 27.90 | 100 | 1 0 3 |
| 32.53 | 91 | 1 0 6 |
| 30.72 | 69 | 1 0 5 |
| 46.21 | 65 | 1 1 0 |
| 44.35 | 53 | 1 0 11 |
| 25.36 | 45 | 0 0 8 |
| 53.44 | 38 | 1 1 8 |
| 26.96 | 26 | 1 0 2 |
| 29.16 | 21 | 1 0 4 |
| 52.98 | 19 | 1 0 14 |

[3]
Theoretical X-ray powder pattern
Compound: GeP2Os
Radiation: Cu Kα (weighted mean of Kα1 and Kα2)
Structure: a cell relaxed with GGA-PBE

abc: 5.480 5.480 10.409
angles: 90.00 90.00 90.00
Space group I-42d (No. 122)
Asymmetric unit:
Ge (0.000, 0.000, 0.000) [4 per cell]
P (0.229, 0.250, 0.625) [8 per cell]
Os (0.000, 0.000, 0.500) [4 per cell]

The 10 most intense peaks (5° ≤ 2θ ≤ 70°), by intensity:
| 2θ (°) | I (rel.) | index |
| --- | --- | --- |
| 28.72 | 100 | 1 1 2 |
| 48.23 | 34 | 2 0 4 |
| 55.92 | 31 | 3 1 2 |
| 18.30 | 27 | 1 0 1 |
| 32.68 | 20 | 2 0 0 |
| 46.90 | 18 | 2 2 0 |
| 58.27 | 14 | 1 1 6 |
| 34.47 | 9 | 0 0 4 |
| 59.48 | 8 | 2 2 4 |
| 37.71 | 8 | 2 1 1 |

[4]
Theoretical X-ray powder pattern
Compound: PrEr6In6
Radiation: Cu Kα (weighted mean of Kα1 and Kα2)
Structure: a cell relaxed with GGA-PBE

abc: 6.2220 6.2220 10.7265
angles: 90.00 90.00 120.00
Space group P6/mmm (No. 191)
Asymmetric unit:
Pr (0.0000, 0.0000, 0.0000) [1 per cell]
Er (0.0000, 0.0000, 0.3418) [2 per cell]
Er (0.3333, 0.6667, 0.0000) [2 per cell]
Er (0.3333, 0.6667, 0.5000) [2 per cell]
In (0.0000, 0.5000, 0.2455) [6 per cell]

The 10 most intense peaks (5° ≤ 2θ ≤ 70°), by intensity:
| 2θ (°) | I (rel.) | index |
| --- | --- | --- |
| 33.28 | 100 | 1 1 2 |
| 37.35 | 65 | 2 0 2 |
| 28.70 | 51 | 1 1 0 |
| 59.65 | 29 | 1 1 6 |
| 29.99 | 27 | 1 0 3 |
| 59.42 | 27 | 2 2 0 |
| 37.46 | 26 | 1 0 4 |
| 33.41 | 23 | 0 0 4 |
| 69.90 | 19 | 2 2 4 |
| 53.83 | 18 | 3 0 2 |

[5]
Theoretical X-ray powder pattern
Compound: Mg6InBi5
Radiation: Cu Kα (weighted mean of Kα1 and Kα2)
Structure: a cell relaxed with GGA-PBE

abc: 6.760 6.866 7.924
angles: 86.79 70.45 76.67
Space group P-1 (No. 2)
Asymmetric unit:
Mg (0.025, 0.080, 0.185) [2 per cell]
Mg (0.180, 0.556, 0.295) [2 per cell]
Mg (0.415, 0.182, 0.780) [2 per cell]
In (0.500, 0.500, 0.500) [1 per cell]
Bi (0.000, 0.500, 0.000) [1 per cell]
Bi (0.202, 0.136, 0.477) [2 per cell]
Bi (0.373, 0.767, 0.931) [2 per cell]

The 10 most intense peaks (5° ≤ 2θ ≤ 70°), by intensity:
| 2θ (°) | I (rel.) | index |
| --- | --- | --- |
| 22.13 | 100 | 1 -1 1 |
| 31.54 | 73 | 1 2 -1 |
| 23.84 | 63 | 0 0 2 |
| 31.11 | 62 | 2 1 2 |
| 27.11 | 57 | -1 1 1 |
| 28.86 | 54 | 2 1 0 |
| 37.64 | 40 | 1 -1 3 |
| 28.13 | 37 | 1 2 1 |
| 18.03 | 33 | 0 1 1 |
| 41.24 | 28 | 3 0 1 |

[6]
Theoretical X-ray powder pattern
Compound: SrYPb6
Radiation: Cu Kα (weighted mean of Kα1 and Kα2)
Structure: a cell relaxed with GGA-PBE

abc: 4.980 4.980 9.822
angles: 90.00 90.00 90.00
Space group P4/mmm (No. 123)
Asymmetric unit:
Sr (0.000, 0.000, 0.000) [1 per cell]
Y (0.000, 0.000, 0.500) [1 per cell]
Pb (0.000, 0.500, 0.257) [4 per cell]
Pb (0.500, 0.500, 0.000) [1 per cell]
Pb (0.500, 0.500, 0.500) [1 per cell]

The 10 most intense peaks (5° ≤ 2θ ≤ 70°), by intensity:
| 2θ (°) | I (rel.) | index |
| --- | --- | --- |
| 31.26 | 100 | 1 1 2 |
| 36.07 | 35 | 2 0 0 |
| 61.88 | 29 | 3 1 2 |
| 52.33 | 24 | 2 0 4 |
| 36.60 | 16 | 0 0 4 |
| 62.58 | 14 | 1 1 6 |
| 65.20 | 12 | 2 2 4 |
| 51.94 | 12 | 2 2 0 |
| 17.81 | 5 | 1 0 0 |
| 25.47 | 4 | 1 0 2 |

> What is the formula in the first record?

Sm3Al2